Diffraction record for Er3Rh. The powder diffraction line list is computed, not measured: it uses a cell relaxed with PBE and Cu Kα, 1.54184 Å.

```
data_Er3Rh
_cell_length_a 7.118
_cell_length_b 9.353
_cell_length_c 6.262
_cell_angle_alpha 90.00
_cell_angle_beta 90.00
_cell_angle_gamma 90.00
_symmetry_space_group_name_H-M 'P n m a'
_symmetry_Int_Tables_number 62
loop_
_symmetry_equiv_pos_as_xyz
'x,y,z'
'-x,-y,-z'
'-x+1/2,-y,z+1/2'
'x+1/2,y,-z+1/2'
'x+1/2,-y+1/2,-z+1/2'
'-x+1/2,y+1/2,z+1/2'
'-x,y+1/2,-z'
'x,-y+1/2,z'
loop_
_atom_site_label
_atom_site_fract_x
_atom_site_fract_y
_atom_site_fract_z
_atom_site_occupancy
Er1 0.035 0.250 0.135 1
Er2 0.178 0.063 0.673 1
Rh1 0.116 0.750 0.448 1
```

The 8 most intense peaks (15 to 90 degrees two-theta), in order of rising 2θ:
2θ/deg, Rel. int.
30.43, 56
31.21, 47
31.59, 74
32.07, 100
32.68, 95
34.51, 85
34.77, 77
58.96, 53

Diffraction record for ErRh2. The powder diffraction line list is computed, not measured: it uses a cell relaxed with PBE and Cu Kα, 1.54184 Å.

a b c (Å): 7.529 7.529 7.529
angles (deg): 90.00 90.00 90.00
Space group Fd-3m (No. 227, origin choice 2)
Asymmetric unit:
Er 0.125 0.125 0.125
Rh 0.000 0.000 0.500

The 8 most intense peaks (15 to 90 degrees two-theta), in order of rising 2θ:
2θ/deg, Rel. int.
33.67, 43
39.70, 100
41.55, 26
60.21, 16
64.28, 32
70.79, 26
84.35, 11
85.56, 10

Diffraction record for Er2RuRh. The powder diffraction line list is computed, not measured: it uses a cell relaxed with PBE and Cu Kα, 1.54184 Å.

```
data_Er2RuRh
_cell_length_a 6.768
_cell_length_b 6.768
_cell_length_c 6.768
_cell_angle_alpha 90.00
_cell_angle_beta 90.00
_cell_angle_gamma 90.00
_symmetry_space_group_name_H-M 'F m -3 m'
_symmetry_Int_Tables_number 225
_symmetry_space_group_name_Hall '-F 4 2 3'
loop_
_atom_site_label
_atom_site_fract_x
_atom_site_fract_y
_atom_site_fract_z
_atom_site_occupancy
Er1 0.250 0.250 0.250 1
Ru1 0.000 0.000 0.000 1
Rh1 0.000 0.000 0.500 1
```

The 8 most intense peaks (15 to 90 degrees two-theta), in order of rising 2θ:
2θ/deg, Rel. int.
26.34, 6
37.59, 100
46.48, 2
54.21, 17
61.25, 3
67.84, 35
80.23, 11
86.23, 1

Diffraction record for ErSbRh2. The powder diffraction line list is computed, not measured: it uses a cell relaxed with PBE and Cu Kα, 1.54184 Å.

```
data_ErSbRh2
_cell_length_a 6.638
_cell_length_b 6.638
_cell_length_c 6.638
_cell_angle_alpha 90.00
_cell_angle_beta 90.00
_cell_angle_gamma 90.00
_symmetry_space_group_name_H-M 'F m -3 m'
_symmetry_Int_Tables_number 225
_symmetry_space_group_name_Hall '-F 4 2 3'
loop_
_atom_site_label
_atom_site_fract_x
_atom_site_fract_y
_atom_site_fract_z
_atom_site_occupancy
Er1 0.000 0.000 0.000 1
Sb1 0.000 0.000 0.500 1
Rh1 0.250 0.250 0.250 1
```

The 8 most intense peaks (15 to 90 degrees two-theta), in order of rising 2θ:
2θ/deg, Rel. int.
23.21, 2
26.86, 3
38.36, 100
45.31, 1
55.37, 17
62.59, 1
69.36, 34
82.14, 11

Diffraction record for ErSbRh. The powder diffraction line list is computed, not measured: it uses a cell relaxed with PBE and Cu Kα, 1.54184 Å.

```
data_ErSbRh
_cell_length_a 7.173
_cell_length_b 4.507
_cell_length_c 7.895
_cell_angle_alpha 90.00
_cell_angle_beta 90.00
_cell_angle_gamma 90.00
_symmetry_space_group_name_H-M 'P n m a'
_symmetry_Int_Tables_number 62
loop_
_symmetry_equiv_pos_as_xyz
'x,y,z'
'-x,-y,-z'
'-x+1/2,-y,z+1/2'
'x+1/2,y,-z+1/2'
'x+1/2,-y+1/2,-z+1/2'
'-x+1/2,y+1/2,z+1/2'
'-x,y+1/2,-z'
'x,-y+1/2,z'
loop_
_atom_site_label
_atom_site_fract_x
_atom_site_fract_y
_atom_site_fract_z
_atom_site_occupancy
Er1 0.013 0.250 0.194 1
Sb1 0.183 0.250 0.589 1
Rh1 0.204 0.750 0.412 1
```

The 8 most intense peaks (15 to 90 degrees two-theta), in order of rising 2θ:
2θ/deg, Rel. int.
32.64, 60
33.77, 34
33.90, 100
39.37, 28
39.66, 52
40.01, 41
53.32, 18
64.63, 25

Diffraction record for Er2Si3Rh. The powder diffraction line list is computed, not measured: it uses a cell relaxed with PBE and Cu Kα, 1.54184 Å.

```
data_Er2Si3Rh
_cell_length_a 8.1581
_cell_length_b 8.1581
_cell_length_c 7.8474
_cell_angle_alpha 90.00
_cell_angle_beta 90.00
_cell_angle_gamma 120.00
_symmetry_space_group_name_H-M 'P 63/m m c'
_symmetry_Int_Tables_number 194
_symmetry_space_group_name_Hall '-P 6c 2c'
loop_
_atom_site_label
_atom_site_fract_x
_atom_site_fract_y
_atom_site_fract_z
_atom_site_occupancy
Er1 0.0000 0.0000 0.2500 1
Er2 0.0090 0.5045 0.2500 1
Si1 0.1661 0.3322 0.5015 1
Rh1 0.3333 0.6667 0.5147 1
```

The 8 most intense peaks (15 to 90 degrees two-theta), in order of rising 2θ:
2θ/deg, Rel. int.
25.21, 32
34.15, 100
44.42, 36
46.28, 11
53.42, 9
57.19, 22
66.08, 21
75.17, 20